DyPtO3: computed powder XRD pattern (Cu Kα, 1.54184 Å), based on a DFT-relaxed cell (GGA-PBE, OQMD).

Structural model:
```
data_DyPtO3
_chemical_formula_sum 'Dy6 Pt6 O18'
_cell_length_a 5.8346
_cell_length_b 5.8346
_cell_length_c 12.3686
_cell_angle_alpha 90.00
_cell_angle_beta 90.00
_cell_angle_gamma 120.00
_symmetry_space_group_name_H-M 'R -3 c'
_symmetry_Int_Tables_number 167
_symmetry_space_group_name_Hall '-R 3 2"c'
loop_
_atom_site_label
_atom_site_type_symbol
_atom_site_fract_x
_atom_site_fract_y
_atom_site_fract_z
Dy1 Dy 0.0000 0.0000 0.2500
Pt1 Pt 0.0000 0.0000 0.0000
O1 O 0.0000 0.3794 0.2500
```

Top 8 peaks for 10° ≤ 2θ ≤ 80°, in order of falling intensity:
d_spacing  I_rel
2.917  100
2.637  84
1.625  41
1.956  41
1.684  29
1.276  17
1.202  16
1.478  15